For LiCa2CrN4, a cell relaxed with GGA-PBE gives the calculated powder X-ray diffraction pattern in this record (Cu Kα (weighted mean of Kα1 and Kα2)).
Lines closer than 0.1° are merged.

Structure:
Cell: 7.044 5.619 5.522 Å, 90.00 90.00 90.00°
Fractional positions:
Li  0.000  0.238  0.000
Li  0.500  0.762  0.500
Ca  0.246  0.783  0.015
Ca  0.254  0.217  0.515
Ca  0.746  0.217  0.515
Ca  0.754  0.783  0.015
Cr  0.000  0.788  0.495
Cr  0.500  0.212  0.995
N  0.000  0.966  0.755
N  0.000  0.997  0.263
N  0.212  0.630  0.474
N  0.288  0.370  0.974
N  0.500  0.003  0.763
N  0.500  0.034  0.255
N  0.712  0.370  0.974
N  0.788  0.630  0.474

Top 10 peaks for 2θ from 10° to 90°, sorted by position:
2theta	I_rel
15.77	20
20.22	44
20.44	38
31.85	22
32.43	38
34.15	100
44.39	20
46.10	32
58.24	20
58.96	19